1.
This entry pairs a crystal structure of Th3Si6Pd2Pt with its simulated powder diffraction line list. Radiation: CuKα. Structure: the GGA-PBE geometry in Alexandria.
No peak broadening, texture or thermal motion is included.

Peak list (10 most intense, 2θ = 10–90°, in order of rising 2θ)
(1 0 1), 20.70 deg, d 4.291, intensity 19
(0 1 2), 28.33 deg, d 3.150, intensity 67
(1 1 0), 30.51 deg, d 2.930, intensity 100
(0 2 1), 37.16 deg, d 2.419, intensity 18
(1 1 2), 38.01 deg, d 2.368, intensity 45
(2 0 2), 42.12 deg, d 2.145, intensity 35
(1 1 3), 45.91 deg, d 1.977, intensity 20
(0 1 4), 48.77 deg, d 1.867, intensity 23
(1 2 2), 52.90 deg, d 1.731, intensity 23
(3 0 0), 54.23 deg, d 1.691, intensity 20

Structural model:
```
data_Th3Si6Pd2Pt
_chemical_formula_sum 'Th3 Si6 Pd2 Pt1'
_symmetry_space_group_name_H-M 'P -3 m 1'
_symmetry_Int_Tables_number 164
_symmetry_space_group_name_Hall '-P 3 2"'
_cell_length_a 5.8595
_cell_length_b 5.8595
_cell_length_c 8.0355
_cell_angle_alpha 90.00
_cell_angle_beta 90.00
_cell_angle_gamma 120.00
loop_
_atom_site_label
_atom_site_fract_x
_atom_site_fract_y
_atom_site_fract_z
Th1 0.0000 0.0000 0.0000
Th2 0.3333 0.6667 0.6371
Si1 0.1916 0.3833 0.2905
Pd1 0.3333 0.6667 0.0301
Pt1 0.0000 0.0000 0.5000
```

***

2.
This entry pairs a crystal structure of Hg with its simulated powder diffraction line list. Radiation: CuKα. Structure: the GGA-PBE geometry in Alexandria.
No peak broadening, texture or thermal motion is included.

Peak list (10 most intense, 2θ = 10–90°, in order of rising 2θ)
(0 1 -2), 28.60 deg, d 3.122, intensity 48
(1 1 1), 29.25 deg, d 3.053, intensity 49
(1 -2 0), 30.68 deg, d 2.915, intensity 50
(1 -2 1), 31.67 deg, d 2.825, intensity 54
(2 0 -1), 31.80 deg, d 2.814, intensity 49
(1 1 -2), 32.39 deg, d 2.764, intensity 58
(1 0 2), 32.99 deg, d 2.715, intensity 49
(2 -1 1), 33.90 deg, d 2.644, intensity 100
(-1 1 2), 35.14 deg, d 2.554, intensity 68
(1 2 -1), 35.64 deg, d 2.519, intensity 83

Structural model:
```
data_Hg
_chemical_formula_sum 'Hg8'
_symmetry_space_group_name_H-M 'P 1'
_symmetry_Int_Tables_number 1
_cell_length_a 6.0835
_cell_length_b 6.2369
_cell_length_c 6.5900
_cell_angle_alpha 101.36
_cell_angle_beta 93.66
_cell_angle_gamma 100.13
loop_
_symmetry_equiv_pos_as_xyz
'x,y,z'
loop_
_atom_site_label
_atom_site_fract_x
_atom_site_fract_y
_atom_site_fract_z
Hg1 0.0000 0.0000 0.0000
Hg2 0.0475 0.5609 0.2620
Hg3 0.0989 0.1179 0.5247
Hg4 0.3188 0.5918 0.8510
Hg5 0.4888 0.2959 0.2282
Hg6 0.5457 0.0593 0.7682
Hg7 0.6090 0.8288 0.3070
Hg8 0.7924 0.5205 0.6804
```

***

3.
This entry pairs a crystal structure of Pm2CuSi3Au4 with its simulated powder diffraction line list. Radiation: CuKα. Structure: the GGA-PBE geometry in Alexandria.
No peak broadening, texture or thermal motion is included.

Peak list (10 most intense, 2θ = 10–90°, in order of rising 2θ)
(1 0 2), 26.95 deg, d 3.308, intensity 30
(1 1 1), 30.29 deg, d 2.951, intensity 60
(1 0 3), 33.52 deg, d 2.673, intensity 57
(1 1 2), 34.01 deg, d 2.636, intensity 100
(2 0 0), 41.40 deg, d 2.181, intensity 69
(1 1 4), 46.34 deg, d 1.959, intensity 28
(1 0 5), 49.53 deg, d 1.840, intensity 22
(2 1 3), 54.28 deg, d 1.690, intensity 30
(2 2 0), 59.98 deg, d 1.542, intensity 23
(3 1 2), 70.78 deg, d 1.331, intensity 24

Structural model:
```
data_Pm2CuSi3Au4
_chemical_formula_sum 'Pm2 Cu1 Si3 Au4'
_symmetry_space_group_name_H-M 'P -4 m 2'
_symmetry_Int_Tables_number 115
_cell_length_a 4.3620
_cell_length_b 4.3620
_cell_length_c 10.1491
_cell_angle_alpha 90.00
_cell_angle_beta 90.00
_cell_angle_gamma 90.00
loop_
_symmetry_equiv_pos_as_xyz
'x,y,z'
'y,-x,-z'
'-x,-y,z'
'-y,x,-z'
'-x,y,z'
'-y,-x,-z'
'x,-y,z'
'y,x,-z'
loop_
_atom_site_label
_atom_site_fract_x
_atom_site_fract_y
_atom_site_fract_z
Pm1 0.0000 0.5000 0.2478
Cu1 0.5000 0.5000 0.0000
Si1 0.0000 0.0000 0.0000
Si2 0.0000 0.5000 0.6352
Au1 0.0000 0.0000 0.5000
Au2 0.0000 0.5000 0.8728
Au3 0.5000 0.5000 0.5000
```

***

4.
This entry pairs a crystal structure of Tm3Sb4Rh8 with its simulated powder diffraction line list. Radiation: CuKα. Structure: the GGA-PBE geometry in Alexandria.
No peak broadening, texture or thermal motion is included.

Peak list (10 most intense, 2θ = 10–90°, in order of rising 2θ)
(4 2 0), 30.91 deg, d 2.893, intensity 10
(4 2 2), 33.95 deg, d 2.641, intensity 7
(3 3 3), 36.08 deg, d 2.490, intensity 26
(4 4 0), 39.40 deg, d 2.287, intensity 100
(8 0 0), 56.94 deg, d 1.617, intensity 10
(8 4 0), 64.42 deg, d 1.446, intensity 7
(9 3 1), 69.29 deg, d 1.356, intensity 8
(8 4 4), 71.45 deg, d 1.320, intensity 22
(7 7 3), 76.11 deg, d 1.251, intensity 7
(8 8 0), 84.78 deg, d 1.143, intensity 8

Structural model:
```
data_Tm3Sb4Rh8
_chemical_formula_sum 'Tm24 Sb32 Rh64'
_symmetry_space_group_name_H-M 'F m -3 m'
_symmetry_Int_Tables_number 225
_symmetry_space_group_name_Hall '-F 4 2 3'
_cell_length_a 12.9367
_cell_length_b 12.9367
_cell_length_c 12.9367
_cell_angle_alpha 90.00
_cell_angle_beta 90.00
_cell_angle_gamma 90.00
loop_
_atom_site_label
_atom_site_fract_x
_atom_site_fract_y
_atom_site_fract_z
Tm1 0.0000 0.0000 0.2288
Sb1 0.0000 0.0000 0.0000
Sb2 0.0000 0.0000 0.5000
Sb3 0.0000 0.2500 0.2500
Rh1 0.1199 0.1199 0.3801
Rh2 0.1637 0.1637 0.1637
```

***

5.
This entry pairs a crystal structure of Li2DyErTe4 with its simulated powder diffraction line list. Radiation: CuKα. Structure: the GGA-PBE geometry in Alexandria.
No peak broadening, texture or thermal motion is included.

Peak list (10 most intense, 2θ = 10–90°, in order of rising 2θ)
(1 0 0), 12.55 deg, d 7.054, intensity 31
(1 0 -2), 24.11 deg, d 3.691, intensity 24
(1 1 1), 29.20 deg, d 3.059, intensity 100
(2 1 -1), 31.89 deg, d 2.806, intensity 13
(0 2 0), 41.76 deg, d 2.163, intensity 76
(0 0 4), 51.74 deg, d 1.767, intensity 20
(2 2 2), 60.54 deg, d 1.529, intensity 13
(1 3 1), 68.56 deg, d 1.369, intensity 17
(4 2 0), 68.65 deg, d 1.367, intensity 17
(2 0 -6), 76.21 deg, d 1.249, intensity 19

Structural model:
```
data_Li2DyErTe4
_chemical_formula_sum 'Li2 Dy1 Er1 Te4'
_symmetry_space_group_name_H-M 'P 1 2/m 1'
_symmetry_Int_Tables_number 10
_cell_length_a 7.4826
_cell_length_b 4.3306
_cell_length_c 7.4949
_cell_angle_alpha 90.00
_cell_angle_beta 109.50
_cell_angle_gamma 90.00
loop_
_symmetry_equiv_pos_as_xyz
'x,y,z'
'-x,-y,-z'
'-x,y,-z'
'x,-y,z'
loop_
_atom_site_label
_atom_site_fract_x
_atom_site_fract_y
_atom_site_fract_z
Li1 0.0000 0.0000 0.0000
Li2 0.0000 0.5000 0.5000
Dy1 0.5000 0.0000 0.5000
Er1 0.5000 0.5000 0.0000
Te1 0.2452 0.5000 0.2468
Te2 0.2461 0.0000 0.7504
```

***

6.
This entry pairs a crystal structure of SmGa3CoIr with its simulated powder diffraction line list. Radiation: CuKα. Structure: the GGA-PBE geometry in Alexandria.
No peak broadening, texture or thermal motion is included.

Peak list (10 most intense, 2θ = 10–90°, in order of rising 2θ)
(1 1 0), 14.24 deg, d 6.218, intensity 32
(2 0 0), 23.16 deg, d 3.841, intensity 63
(2 2 0), 28.72 deg, d 3.109, intensity 23
(0 0 2), 32.09 deg, d 2.790, intensity 25
(1 3 1), 32.19 deg, d 2.780, intensity 57
(0 4 1), 37.61 deg, d 2.391, intensity 45
(2 0 2), 39.94 deg, d 2.257, intensity 100
(2 4 1), 44.64 deg, d 2.030, intensity 56
(4 0 0), 47.34 deg, d 1.920, intensity 37
(4 4 1), 61.97 deg, d 1.497, intensity 21

Structural model:
```
data_SmGa3CoIr
_chemical_formula_sum 'Sm4 Ga12 Co4 Ir4'
_symmetry_space_group_name_H-M 'C m c m'
_symmetry_Int_Tables_number 63
_symmetry_space_group_name_Hall '-C 2c 2'
_cell_length_a 7.6816
_cell_length_b 10.5880
_cell_length_c 5.5792
_cell_angle_alpha 90.00
_cell_angle_beta 90.00
_cell_angle_gamma 90.00
loop_
_atom_site_label
_atom_site_fract_x
_atom_site_fract_y
_atom_site_fract_z
Sm1 0.0000 0.2139 0.2500
Ga1 0.0000 0.3193 0.7500
Ga2 0.2496 0.0000 0.0000
Co1 0.0000 0.4654 0.2500
Ir1 0.0000 0.0894 0.7500
```